No. 1
Structure and simulated X-ray powder pattern of Ca4SeN4 (the PBE geometry in the Materials Project; Cu Kα (weighted mean of Kα1 and Kα2)).

Most intense lines, 2θ = 10–90°, by angle:
- 2θ = 18.00°, I 335
- 2θ = 18.11°, I 330
- 2θ = 18.37°, I 237
- 2θ = 29.30°, I 1000
- 2θ = 31.49°, I 631
- 2θ = 31.64°, I 659
- 2θ = 31.88°, I 732
- 2θ = 31.91°, I 720
- 2θ = 34.80°, I 730
- 2θ = 44.86°, I 380
- 2θ = 45.99°, I 315
- 2θ = 46.24°, I 332

Structural model:
```
Ca4SeN4
1.0
6.320 0.000 0.000
2.060 6.011 0.000
1.122 2.888 8.360
Ca Se N
8 2 8
Direct
0.009 0.291 0.422 Ca
0.099 0.824 0.163 Ca
0.293 0.295 0.000 Ca
0.485 0.237 0.575 Ca
0.515 0.763 0.425 Ca
0.707 0.705 0.000 Ca
0.901 0.176 0.837 Ca
0.991 0.709 0.578 Ca
0.307 0.799 0.796 Se
0.693 0.201 0.204 Se
0.048 0.729 0.882 N
0.241 0.562 0.397 N
0.255 0.951 0.590 N
0.326 0.017 0.881 N
0.674 0.983 0.119 N
0.745 0.049 0.410 N
0.759 0.438 0.603 N
0.952 0.271 0.118 N
```



No. 2
Structure and simulated X-ray powder pattern of Ca2SnS4 (the PBE geometry in the Materials Project; Cu Kα (weighted mean of Kα1 and Kα2)).

Most intense lines, 2θ = 10–90°, by angle:
- 2θ = 15.04°, I 307
- 2θ = 17.92°, I 1000
- 2θ = 18.39°, I 644
- 2θ = 24.83°, I 319
- 2θ = 25.71°, I 507
- 2θ = 25.86°, I 936
- 2θ = 30.33°, I 269
- 2θ = 31.15°, I 314
- 2θ = 35.51°, I 271
- 2θ = 36.30°, I 307
- 2θ = 40.27°, I 364
- 2θ = 41.76°, I 299

Structural model:
```
Ca2SnS4
1.0
16.808 0.000 0.000
0.000 7.171 0.000
0.000 0.000 11.783
Ca Sn S
16 8 32
Direct
0.051 0.210 0.114 Ca
0.120 0.193 0.751 Ca
0.123 0.728 0.363 Ca
0.188 0.681 0.000 Ca
0.312 0.181 0.500 Ca
0.377 0.228 0.863 Ca
0.380 0.693 0.251 Ca
0.449 0.710 0.614 Ca
0.551 0.290 0.114 Ca
0.620 0.307 0.751 Ca
0.623 0.772 0.363 Ca
0.688 0.819 0.000 Ca
0.812 0.319 0.500 Ca
0.877 0.272 0.863 Ca
0.880 0.807 0.251 Ca
0.949 0.790 0.614 Ca
0.028 0.281 0.471 Sn
0.236 0.688 0.643 Sn
0.264 0.188 0.143 Sn
0.472 0.781 0.971 Sn
0.528 0.219 0.471 Sn
0.736 0.812 0.643 Sn
0.764 0.312 0.143 Sn
0.972 0.719 0.971 Sn
0.018 0.047 0.331 S
0.033 0.431 0.912 S
0.047 0.805 0.135 S
0.119 0.862 0.594 S
0.159 0.359 0.534 S
0.177 0.455 0.194 S
0.182 0.088 0.980 S
0.240 0.474 0.803 S
0.260 0.974 0.303 S
0.318 0.588 0.480 S
0.323 0.955 0.694 S
0.341 0.859 0.034 S
0.381 0.362 0.094 S
0.453 0.305 0.635 S
0.467 0.931 0.412 S
0.482 0.547 0.831 S
0.518 0.453 0.331 S
0.533 0.069 0.912 S
0.547 0.695 0.135 S
0.619 0.638 0.594 S
0.659 0.141 0.534 S
0.677 0.045 0.194 S
0.682 0.412 0.980 S
0.740 0.026 0.803 S
0.760 0.526 0.303 S
0.818 0.912 0.480 S
0.823 0.545 0.694 S
0.841 0.641 0.034 S
0.881 0.138 0.094 S
0.953 0.195 0.635 S
0.967 0.569 0.412 S
0.982 0.953 0.831 S
```



No. 3
Structure and simulated X-ray powder pattern of Ag2Se (the PBE geometry in the Materials Project; Cu Kα (weighted mean of Kα1 and Kα2)).

Most intense lines, 2θ = 10–90°, by angle:
- 2θ = 15.92°, I 339
- 2θ = 19.83°, I 153
- 2θ = 20.78°, I 1000
- 2θ = 33.14°, I 231
- 2θ = 33.49°, I 393
- 2θ = 36.20°, I 161
- 2θ = 36.37°, I 201
- 2θ = 36.75°, I 287
- 2θ = 40.78°, I 138
- 2θ = 42.28°, I 214
- 2θ = 42.59°, I 211
- 2θ = 44.71°, I 309

Structural model:
```
Ag2Se
1.0
4.891 0.000 0.000
0.000 6.673 0.000
0.000 0.000 11.136
Ag Se
8 4
Direct
0.017 0.193 0.249 Ag
0.046 0.528 0.648 Ag
0.454 0.472 0.148 Ag
0.483 0.807 0.749 Ag
0.517 0.307 0.751 Ag
0.546 0.972 0.352 Ag
0.954 0.028 0.852 Ag
0.983 0.693 0.251 Ag
0.050 0.943 0.418 Se
0.450 0.057 0.918 Se
0.550 0.557 0.582 Se
0.950 0.443 0.082 Se
```



No. 4
Structure and simulated X-ray powder pattern of Cs3LiCl4 (the PBE geometry in the Materials Project; Cu Kα (weighted mean of Kα1 and Kα2)).

Most intense lines, 2θ = 10–90°, by angle:
- 2θ = 16.13°, I 226
- 2θ = 21.48°, I 320
- 2θ = 22.20°, I 525
- 2θ = 23.23°, I 201
- 2θ = 27.28°, I 413
- 2θ = 27.84°, I 1000
- 2θ = 30.31°, I 291
- 2θ = 34.05°, I 685
- 2θ = 35.43°, I 243
- 2θ = 41.42°, I 225
- 2θ = 45.29°, I 275
- 2θ = 56.60°, I 228

Structural model:
```
Cs3LiCl4
1.0
10.134 0.000 0.000
0.000 4.360 0.000
0.000 0.000 13.074
Cs Li Cl
6 2 8
Direct
0.000 0.000 0.000 Cs
0.000 0.500 0.500 Cs
0.270 0.000 0.229 Cs
0.270 0.500 0.729 Cs
0.730 0.000 0.229 Cs
0.730 0.500 0.729 Cs
0.500 0.000 0.449 Li
0.500 0.500 0.949 Li
0.000 0.000 0.736 Cl
0.000 0.500 0.236 Cl
0.280 0.000 0.514 Cl
0.280 0.500 0.014 Cl
0.500 0.000 0.839 Cl
0.500 0.500 0.339 Cl
0.720 0.000 0.514 Cl
0.720 0.500 0.014 Cl
```



No. 5
Structure and simulated X-ray powder pattern of UO4 (the PBE geometry in the Materials Project; Cu Kα (weighted mean of Kα1 and Kα2)).

Most intense lines, 2θ = 10–90°, by angle:
- 2θ = 17.40°, I 941
- 2θ = 23.05°, I 1000
- 2θ = 25.21°, I 741
- 2θ = 29.97°, I 230
- 2θ = 31.64°, I 162
- 2θ = 32.44°, I 350
- 2θ = 37.09°, I 232
- 2θ = 38.42°, I 217
- 2θ = 45.93°, I 166
- 2θ = 47.11°, I 170
- 2θ = 48.08°, I 148
- 2θ = 51.53°, I 265

Structural model:
```
UO4
1.0
5.480 0.000 0.000
0.000 5.277 0.000
-2.238 0.000 5.655
U O
2 8
Direct
0.000 0.000 0.000 U
0.000 0.500 0.500 U
0.133 0.236 0.786 O
0.133 0.264 0.286 O
0.311 0.678 0.612 O
0.311 0.822 0.112 O
0.689 0.178 0.888 O
0.689 0.322 0.388 O
0.867 0.736 0.714 O
0.867 0.764 0.214 O
```



No. 6
Structure and simulated X-ray powder pattern of La3As2BrO7 (the PBE geometry in the Materials Project; Cu Kα (weighted mean of Kα1 and Kα2)).

Most intense lines, 2θ = 10–90°, by angle:
- 2θ = 26.55°, I 1000
- 2θ = 29.07°, I 593
- 2θ = 30.34°, I 147
- 2θ = 31.54°, I 377
- 2θ = 32.15°, I 544
- 2θ = 34.30°, I 132
- 2θ = 36.74°, I 353
- 2θ = 44.34°, I 243
- 2θ = 49.18°, I 261
- 2θ = 51.64°, I 251
- 2θ = 53.20°, I 154
- 2θ = 54.66°, I 119

Structural model:
```
La3As2BrO7
1.0
13.174 0.000 0.000
0.000 13.174 0.000
0.000 0.000 5.673
La As Br O
12 8 4 28
Direct
0.047 0.363 0.000 La
0.137 0.547 0.500 La
0.238 0.762 0.000 La
0.262 0.262 0.500 La
0.363 0.047 0.000 La
0.453 0.863 0.500 La
0.547 0.137 0.500 La
0.637 0.953 0.000 La
0.738 0.738 0.500 La
0.762 0.238 0.000 La
0.863 0.453 0.500 La
0.953 0.637 0.000 La
0.027 0.789 0.500 As
0.211 0.973 0.500 As
0.289 0.473 0.000 As
0.473 0.289 0.000 As
0.527 0.711 0.000 As
0.711 0.527 0.000 As
0.789 0.027 0.500 As
0.973 0.211 0.500 As
0.147 0.147 0.000 Br
0.353 0.647 0.500 Br
0.647 0.353 0.500 Br
0.853 0.853 0.000 Br
0.000 0.500 0.250 O
0.000 0.500 0.750 O
0.082 0.292 0.500 O
0.092 0.720 0.263 O
0.092 0.720 0.737 O
0.208 0.582 0.000 O
0.220 0.408 0.237 O
0.220 0.408 0.763 O
0.280 0.908 0.263 O
0.280 0.908 0.737 O
0.292 0.082 0.500 O
0.408 0.220 0.237 O
0.408 0.220 0.763 O
0.418 0.792 0.000 O
0.500 0.000 0.250 O
0.500 0.000 0.750 O
0.582 0.208 0.000 O
0.592 0.780 0.237 O
0.592 0.780 0.763 O
0.708 0.918 0.500 O
0.720 0.092 0.263 O
0.720 0.092 0.737 O
0.780 0.592 0.237 O
0.780 0.592 0.763 O
0.792 0.418 0.000 O
0.908 0.280 0.263 O
0.908 0.280 0.737 O
0.918 0.708 0.500 O
```



No. 7
Structure and simulated X-ray powder pattern of Li2GaSb (the PBE geometry in the Materials Project; Cu Kα (weighted mean of Kα1 and Kα2)).

Most intense lines, 2θ = 10–90°, by angle:
- 2θ = 22.85°, I 128
- 2θ = 26.44°, I 1000
- 2θ = 37.74°, I 962
- 2θ = 44.58°, I 64
- 2θ = 46.68°, I 281
- 2θ = 54.44°, I 163
- 2θ = 59.80°, I 27
- 2θ = 61.52°, I 360
- 2θ = 68.15°, I 326
- 2θ = 80.62°, I 101
- 2θ = 85.15°, I 21
- 2θ = 86.65°, I 175

Structural model:
```
Li2GaSb
1.0
6.741 0.000 0.000
0.000 6.741 0.000
0.000 0.000 6.741
Li Ga Sb
8 4 4
Direct
0.250 0.250 0.250 Li
0.250 0.250 0.750 Li
0.250 0.750 0.250 Li
0.250 0.750 0.750 Li
0.750 0.250 0.250 Li
0.750 0.250 0.750 Li
0.750 0.750 0.250 Li
0.750 0.750 0.750 Li
0.000 0.000 0.000 Ga
0.000 0.500 0.500 Ga
0.500 0.000 0.500 Ga
0.500 0.500 0.000 Ga
0.000 0.000 0.500 Sb
0.000 0.500 0.000 Sb
0.500 0.000 0.000 Sb
0.500 0.500 0.500 Sb
```



No. 8
Structure and simulated X-ray powder pattern of CaBi6P4O20 (the PBE geometry in the Materials Project; Cu Kα (weighted mean of Kα1 and Kα2)).

Most intense lines, 2θ = 10–90°, by angle:
- 2θ = 13.99°, I 329
- 2θ = 14.69°, I 328
- 2θ = 22.02°, I 282
- 2θ = 26.68°, I 311
- 2θ = 26.99°, I 468
- 2θ = 27.22°, I 1000
- 2θ = 27.40°, I 646
- 2θ = 27.99°, I 615
- 2θ = 28.93°, I 329
- 2θ = 31.91°, I 314
- 2θ = 32.08°, I 398
- 2θ = 33.11°, I 498

Structural model:
```
CaBi6P4O20
1.0
6.989 0.000 0.000
-2.946 7.118 0.000
-0.571 -3.199 8.734
Ca Bi P O
1 6 4 20
Direct
0.000 0.000 0.000 Ca
0.191 0.696 0.677 Bi
0.336 0.132 0.513 Bi
0.433 0.790 0.085 Bi
0.567 0.210 0.915 Bi
0.664 0.868 0.487 Bi
0.809 0.304 0.323 Bi
0.051 0.266 0.761 P
0.341 0.389 0.252 P
0.659 0.611 0.748 P
0.949 0.734 0.239 P
0.054 0.798 0.410 O
0.109 0.829 0.146 O
0.121 0.248 0.270 O
0.149 0.499 0.832 O
0.225 0.185 0.760 O
0.318 0.909 0.905 O
0.346 0.312 0.079 O
0.365 0.609 0.306 O
0.448 0.972 0.637 O
0.483 0.625 0.648 O
0.517 0.375 0.352 O
0.552 0.028 0.363 O
0.635 0.391 0.694 O
0.654 0.688 0.921 O
0.682 0.091 0.095 O
0.775 0.815 0.240 O
0.851 0.501 0.168 O
0.879 0.752 0.730 O
0.891 0.171 0.854 O
0.946 0.202 0.590 O
```